For Th3In5, a cell relaxed with PBE gives the calculated powder XRD pattern in this record (CuKα).
Peak positions follow from Bragg's law for the DFT cell and can differ from measured ones.

Peak list (10 most intense, 2θ = 5–70°, by angle)
| d (Å) | I (rel.) |
| --- | --- |
| 3.258 | 218 |
| 2.757 | 1000 |
| 2.721 | 238 |
| 2.680 | 369 |
| 2.616 | 402 |
| 2.586 | 265 |
| 2.375 | 222 |
| 2.352 | 243 |
| 1.873 | 239 |
| 1.401 | 219 |

Atomic structure:
a = 10.344 Å, b = 8.328 Å, c = 10.465 Å
α = 90.00°, β = 90.00°, γ = 90.00°
Space group Cmcm (No. 63)
One atom of each set of equivalent atoms:
Th 0.000 0.132 0.250 x4
Th 0.206 0.500 0.000 x8
In 0.000 0.191 0.551 x8
In 0.000 0.483 0.750 x4
In 0.209 0.215 0.750 x8